Computed powder diffractogram of Mg2MnOs for Cu Kα (weighted mean of Kα1 and Kα2), from a structure optimized by DFT (PBE).
Neutral-atom scattering factors, no anomalous dispersion.

Crystal structure
Unit cell a=2.6971 b=4.2606 c=5.5341 alpha=90.00 beta=90.00 gamma=90.00
Atoms (fractional coordinates):
Mg 0.0000 0.0000 0.2434
Mg 0.0000 0.0000 0.7566
Mn 0.5000 0.5000 0.5000
Os 0.5000 0.5000 0.0000

Top 10 peaks for 10 to 90 degrees two-theta, by angle:
hkl 0 0 1, 16.02 deg, d = 5.534 Å, intensity 84
hkl 0 1 0, 20.85 deg, d = 4.261 Å, intensity 100
hkl 0 1 1, 26.40 deg, d = 3.376 Å, intensity 50
hkl 0 0 2, 32.35 deg, d = 2.767 Å, intensity 34
hkl 0 1 2, 38.81 deg, d = 2.321 Å, intensity 98
hkl 1 1 0, 39.55 deg, d = 2.279 Å, intensity 93
hkl 0 2 0, 42.43 deg, d = 2.130 Å, intensity 38
hkl 1 0 2, 47.05 deg, d = 1.931 Å, intensity 56
hkl 1 1 2, 51.98 deg, d = 1.759 Å, intensity 36
hkl 1 2 2, 65.20 deg, d = 1.431 Å, intensity 41

---

Computed powder diffractogram of CaHf8N8O4 for Cu Kα (weighted mean of Kα1 and Kα2), from a structure optimized by DFT (PBE).
Neutral-atom scattering factors, no anomalous dispersion.

Crystal structure
Unit cell a=5.4968 b=5.5161 c=10.6941 alpha=75.74 beta=76.63 gamma=60.27
Atoms (fractional coordinates):
Ca 0.0000 0.0000 0.0000
Hf 0.1083 0.0185 0.7412
Hf 0.1838 0.1425 0.4587
Hf 0.3190 0.3164 0.0378
Hf 0.4420 0.3750 0.7227
Hf 0.5764 0.5250 0.2773
Hf 0.6698 0.6921 0.9621
Hf 0.8053 0.7898 0.5411
Hf 0.9056 0.8635 0.2585
N 0.0753 0.6601 0.8764
N 0.3266 0.6054 0.1265
N 0.3754 0.0550 0.8692
N 0.4353 0.7762 0.6199
N 0.5785 0.1441 0.3820
N 0.6371 0.9058 0.1203
N 0.8181 0.1021 0.6183
N 0.8729 0.5317 0.3806
O 0.1421 0.3925 0.6189
O 0.2018 0.8274 0.3755
O 0.6767 0.3646 0.8766
O 0.9484 0.2917 0.1335

Top 10 peaks for 10 to 90 degrees two-theta, by angle:
hkl 1 1 2, 22.16 deg, d = 4.012 Å, intensity 14
hkl 1 1 -2, 29.50 deg, d = 3.028 Å, intensity 37
hkl 0 1 3, 29.72 deg, d = 3.006 Å, intensity 34
hkl 1 0 3, 30.16 deg, d = 2.963 Å, intensity 37
hkl 1 -1 0, 32.43 deg, d = 2.761 Å, intensity 100
hkl 2 1 1, 32.59 deg, d = 2.747 Å, intensity 51
hkl 0 0 4, 34.94 deg, d = 2.568 Å, intensity 22
hkl 0 2 -2, 44.59 deg, d = 2.032 Å, intensity 13
hkl 2 1 -3, 47.82 deg, d = 1.902 Å, intensity 13
hkl 1 -1 4, 48.73 deg, d = 1.869 Å, intensity 23

---

Computed powder diffractogram of HoTi for Cu Kα (weighted mean of Kα1 and Kα2), from a structure optimized by DFT (PBE).
Neutral-atom scattering factors, no anomalous dispersion.

Crystal structure
Unit cell a=3.2265 b=5.0497 c=5.7680 alpha=90.00 beta=90.00 gamma=90.00
Atoms (fractional coordinates):
Ho 0.2500 0.2500 0.1109
Ho 0.7500 0.7500 0.8891
Ti 0.2500 0.7500 0.4281
Ti 0.7500 0.2500 0.5719

Top 10 peaks for 10 to 90 degrees two-theta, by angle:
hkl 0 0 1, 15.36 deg, d = 5.768 Å, intensity 47
hkl 0 1 1, 23.41 deg, d = 3.799 Å, intensity 39
hkl 1 0 1, 31.78 deg, d = 2.816 Å, intensity 41
hkl 1 1 0, 32.94 deg, d = 2.719 Å, intensity 31
hkl 0 2 0, 35.56 deg, d = 2.525 Å, intensity 42
hkl 0 1 2, 35.86 deg, d = 2.504 Å, intensity 73
hkl 1 1 1, 36.54 deg, d = 2.459 Å, intensity 100
hkl 1 2 1, 48.42 deg, d = 1.880 Å, intensity 25
hkl 1 2 3, 67.80 deg, d = 1.382 Å, intensity 20
hkl 2 1 2, 69.28 deg, d = 1.356 Å, intensity 21